This entry pairs a crystal structure of Mn12O5F19 with its theoretical powder XRD pattern. Radiation: Cu Kα X-rays. Structure: a structure optimized by DFT (PBE+U).

Structural model:
Cell lengths 4.908, 5.887, 15.825 Å; angles 91.79, 90.22, 92.31 degrees
Space group P1 (No. 1)
Inequivalent atoms, fractional coordinates:
Mn1 0.000 0.000 0.000 (multiplicity 1)
Mn2 0.002 0.983 0.330 (multiplicity 1)
Mn3 0.024 0.316 0.163 (multiplicity 1)
Mn4 0.475 0.467 0.995 (multiplicity 1)
Mn5 0.483 0.791 0.161 (multiplicity 1)
Mn6 0.491 0.495 0.327 (multiplicity 1)
Mn7 0.503 0.493 0.659 (multiplicity 1)
Mn8 0.508 0.793 0.499 (multiplicity 1)
Mn9 0.516 0.827 0.826 (multiplicity 1)
Mn10 0.948 0.346 0.488 (multiplicity 1)
Mn11 0.975 0.972 0.657 (multiplicity 1)
Mn12 0.988 0.289 0.821 (multiplicity 1)
O1 0.209 0.263 0.058 (multiplicity 1)
O2 0.286 0.521 0.222 (multiplicity 1)
O3 0.691 0.555 0.433 (multiplicity 1)
O4 0.711 0.754 0.602 (multiplicity 1)
O5 0.787 0.033 0.765 (multiplicity 1)
F1 0.222 0.001 0.552 (multiplicity 1)
F2 0.229 0.251 0.710 (multiplicity 1)
F3 0.230 0.045 0.886 (multiplicity 1)
F4 0.230 0.274 0.384 (multiplicity 1)
F5 0.231 0.023 0.221 (multiplicity 1)
F6 0.247 0.523 0.554 (multiplicity 1)
F7 0.257 0.528 0.878 (multiplicity 1)
F8 0.261 0.758 0.047 (multiplicity 1)
F9 0.262 0.753 0.719 (multiplicity 1)
F10 0.268 0.772 0.393 (multiplicity 1)
F11 0.721 0.753 0.274 (multiplicity 1)
F12 0.723 0.760 0.943 (multiplicity 1)
F13 0.727 0.531 0.774 (multiplicity 1)
F14 0.734 0.539 0.103 (multiplicity 1)
F15 0.753 0.048 0.436 (multiplicity 1)
F16 0.757 0.249 0.934 (multiplicity 1)
F17 0.757 0.256 0.602 (multiplicity 1)
F18 0.763 0.043 0.114 (multiplicity 1)
F19 0.790 0.272 0.269 (multiplicity 1)

Top 12 peaks for 2θ from 5° to 70°, by angle:
hkl, 2theta, I_rel
1 -1 0, 23.1, 86.9
1 1 0, 24.1, 78.5
1 -1 3, 28.5, 100.0
-1 1 3, 29.0, 90.5
1 1 -3, 29.2, 92.0
1 1 3, 29.9, 83.0
1 0 -6, 38.7, 35.6
1 -3 0, 49.4, 36.4
2 0 -6, 50.7, 44.8
-2 2 3, 50.9, 61.5
2 0 6, 51.0, 42.0
0 2 9, 62.4, 37.8

This entry pairs a crystal structure of Mn12O5F19 with its theoretical powder XRD pattern. Radiation: Cu Kα X-rays. Structure: a structure optimized by DFT (PBE+U).

Structural model:
Cell lengths 4.813, 5.831, 16.134 Å; angles 90.20, 90.10, 92.46 degrees
Space group P1 (No. 1)
Inequivalent atoms, fractional coordinates:
Mn1 0.000 0.000 0.000 (multiplicity 1)
Mn2 0.001 0.669 0.827 (multiplicity 1)
Mn3 0.007 0.987 0.657 (multiplicity 1)
Mn4 0.010 0.999 0.327 (multiplicity 1)
Mn5 0.477 0.164 0.814 (multiplicity 1)
Mn6 0.481 0.474 0.323 (multiplicity 1)
Mn7 0.489 0.164 0.483 (multiplicity 1)
Mn8 0.494 0.470 0.991 (multiplicity 1)
Mn9 0.509 0.485 0.656 (multiplicity 1)
Mn10 0.514 0.150 0.147 (multiplicity 1)
Mn11 0.981 0.663 0.500 (multiplicity 1)
Mn12 0.997 0.682 0.156 (multiplicity 1)
O1 0.280 0.220 0.702 (multiplicity 1)
O2 0.280 0.231 0.373 (multiplicity 1)
O3 0.292 0.197 0.047 (multiplicity 1)
O4 0.783 0.716 0.612 (multiplicity 1)
O5 0.792 0.950 0.101 (multiplicity 1)
F1 0.219 0.950 0.890 (multiplicity 1)
F2 0.228 0.944 0.551 (multiplicity 1)
F3 0.235 0.715 0.385 (multiplicity 1)
F4 0.238 0.706 0.047 (multiplicity 1)
F5 0.245 0.934 0.218 (multiplicity 1)
F6 0.257 0.728 0.719 (multiplicity 1)
F7 0.275 0.441 0.878 (multiplicity 1)
F8 0.281 0.439 0.210 (multiplicity 1)
F9 0.297 0.455 0.547 (multiplicity 1)
F10 0.726 0.447 0.763 (multiplicity 1)
F11 0.727 0.211 0.257 (multiplicity 1)
F12 0.735 0.446 0.425 (multiplicity 1)
F13 0.738 0.219 0.926 (multiplicity 1)
F14 0.745 0.442 0.097 (multiplicity 1)
F15 0.751 0.220 0.593 (multiplicity 1)
F16 0.759 0.708 0.273 (multiplicity 1)
F17 0.769 0.726 0.940 (multiplicity 1)
F18 0.782 0.939 0.435 (multiplicity 1)
F19 0.795 0.953 0.767 (multiplicity 1)

Top 12 peaks for 2θ from 5° to 70°, by angle:
hkl, 2theta, I_rel
1 -1 0, 23.5, 50.5
1 1 0, 24.5, 42.0
-1 1 3, 28.8, 100.0
1 1 -3, 29.6, 44.6
1 1 3, 29.7, 49.0
0 0 6, 33.3, 18.5
1 0 6, 38.4, 20.6
-1 2 3, 39.2, 21.0
2 0 -6, 50.9, 24.2
2 0 6, 51.1, 44.0
-2 2 3, 51.1, 19.3
0 2 -9, 60.6, 18.2

This entry pairs a crystal structure of Mn3O4F2 with its theoretical powder XRD pattern. Radiation: Cu Kα X-rays. Structure: a structure optimized by DFT (PBE+U).

Structural model:
Cell lengths 4.705, 4.705, 8.970 Å; angles 90.00, 90.00, 90.00 degrees
Space group P4_2nm (No. 102)
Inequivalent atoms, fractional coordinates:
Mn1 0.000 0.000 0.000 (multiplicity 2)
Mn2 0.000 0.000 0.316 (multiplicity 2)
Mn3 0.000 0.000 0.633 (multiplicity 2)
O1 0.183 0.183 0.483 (multiplicity 4)
O2 0.200 0.200 0.153 (multiplicity 4)
F1 0.180 0.180 0.816 (multiplicity 4)

Top 12 peaks for 2θ from 5° to 70°, by angle:
hkl, 2theta, I_rel
1 1 0, 26.8, 100.0
1 0 3, 35.6, 40.1
2 0 0, 38.3, 9.9
1 1 3, 40.6, 14.0
2 1 0, 43.0, 6.6
1 1 4, 49.0, 2.2
2 1 3, 53.2, 54.4
2 2 0, 55.2, 15.7
0 0 6, 62.1, 6.5
3 1 0, 62.4, 8.4
3 0 3, 67.4, 20.7
1 1 6, 68.8, 9.4

This entry pairs a crystal structure of Mn6OF11 with its theoretical powder XRD pattern. Radiation: Cu Kα X-rays. Structure: a structure optimized by DFT (PBE+U).

Structural model:
Cell lengths 4.966, 5.881, 16.217 Å; angles 90.52, 90.00, 91.31 degrees
Space group P1 (No. 1)
Inequivalent atoms, fractional coordinates:
Mn1 0.000 0.000 0.000 (multiplicity 1)
Mn2 0.001 0.315 0.843 (multiplicity 1)
Mn3 0.011 0.337 0.175 (multiplicity 1)
Mn4 0.016 0.001 0.344 (multiplicity 1)
Mn5 0.018 0.341 0.515 (multiplicity 1)
Mn6 0.506 0.844 0.174 (multiplicity 1)
Mn7 0.509 0.841 0.511 (multiplicity 1)
Mn8 0.517 0.524 0.682 (multiplicity 1)
Mn9 0.518 0.501 0.008 (multiplicity 1)
Mn10 0.520 0.499 0.343 (multiplicity 1)
Mn11 0.545 0.840 0.841 (multiplicity 1)
Mn12 0.997 0.989 0.682 (multiplicity 1)
O1 0.719 0.783 0.738 (multiplicity 1)
O2 0.796 0.054 0.891 (multiplicity 1)
F1 0.232 0.057 0.113 (multiplicity 1)
F2 0.234 0.286 0.952 (multiplicity 1)
F3 0.246 0.069 0.455 (multiplicity 1)
F4 0.246 0.273 0.284 (multiplicity 1)
F5 0.247 0.064 0.786 (multiplicity 1)
F6 0.253 0.284 0.627 (multiplicity 1)
F7 0.270 0.773 0.620 (multiplicity 1)
F8 0.279 0.556 0.796 (multiplicity 1)
F9 0.282 0.565 0.453 (multiplicity 1)
F10 0.285 0.563 0.117 (multiplicity 1)
F11 0.285 0.774 0.286 (multiplicity 1)
F12 0.318 0.796 0.946 (multiplicity 1)
F13 0.735 0.564 0.570 (multiplicity 1)
F14 0.744 0.567 0.232 (multiplicity 1)
F15 0.744 0.776 0.402 (multiplicity 1)
F16 0.749 0.776 0.066 (multiplicity 1)
F17 0.758 0.552 0.900 (multiplicity 1)
F18 0.779 0.272 0.065 (multiplicity 1)
F19 0.781 0.066 0.234 (multiplicity 1)
F20 0.788 0.276 0.402 (multiplicity 1)
F21 0.788 0.288 0.731 (multiplicity 1)
F22 0.792 0.062 0.569 (multiplicity 1)

Top 12 peaks for 2θ from 5° to 70°, by angle:
hkl, 2theta, I_rel
1 -1 0, 23.2, 82.2
1 1 0, 23.7, 74.0
1 -1 3, 28.5, 100.0
-1 1 3, 28.6, 97.4
1 1 -3, 28.9, 95.0
1 1 3, 29.1, 94.4
0 0 6, 33.1, 34.8
1 0 -6, 37.9, 40.8
2 0 6, 49.9, 94.3
2 -2 3, 50.4, 61.7
-2 2 3, 50.6, 34.8
2 2 3, 51.7, 30.6

This entry pairs a crystal structure of Mn12O5F19 with its theoretical powder XRD pattern. Radiation: Cu Kα X-rays. Structure: a structure optimized by DFT (PBE+U).

Structural model:
Cell lengths 4.810, 5.812, 16.109 Å; angles 89.59, 89.99, 87.73 degrees
Space group P1 (No. 1)
Inequivalent atoms, fractional coordinates:
Mn1 0.000 0.000 0.000 (multiplicity 1)
Mn2 0.001 0.315 0.157 (multiplicity 1)
Mn3 0.004 0.973 0.676 (multiplicity 1)
Mn4 0.020 0.992 0.330 (multiplicity 1)
Mn5 0.024 0.295 0.830 (multiplicity 1)
Mn6 0.494 0.810 0.176 (multiplicity 1)
Mn7 0.510 0.497 0.666 (multiplicity 1)
Mn8 0.510 0.818 0.821 (multiplicity 1)
Mn9 0.516 0.485 0.334 (multiplicity 1)
Mn10 0.529 0.818 0.498 (multiplicity 1)
Mn11 0.533 0.484 0.999 (multiplicity 1)
Mn12 0.999 0.304 0.491 (multiplicity 1)
O1 0.226 0.021 0.775 (multiplicity 1)
O2 0.292 0.757 0.286 (multiplicity 1)
O3 0.724 0.769 0.720 (multiplicity 1)
O4 0.790 0.251 0.379 (multiplicity 1)
O5 0.793 0.247 0.047 (multiplicity 1)
F1 0.235 0.251 0.610 (multiplicity 1)
F2 0.241 0.031 0.438 (multiplicity 1)
F3 0.248 0.027 0.103 (multiplicity 1)
F4 0.252 0.260 0.941 (multiplicity 1)
F5 0.258 0.254 0.268 (multiplicity 1)
F6 0.268 0.756 0.603 (multiplicity 1)
F7 0.277 0.531 0.776 (multiplicity 1)
F8 0.284 0.771 0.941 (multiplicity 1)
F9 0.296 0.538 0.108 (multiplicity 1)
F10 0.310 0.522 0.443 (multiplicity 1)
F11 0.738 0.528 0.227 (multiplicity 1)
F12 0.742 0.549 0.883 (multiplicity 1)
F13 0.748 0.534 0.556 (multiplicity 1)
F14 0.752 0.755 0.060 (multiplicity 1)
F15 0.771 0.265 0.725 (multiplicity 1)
F16 0.772 0.752 0.390 (multiplicity 1)
F17 0.777 0.034 0.891 (multiplicity 1)
F18 0.794 0.033 0.563 (multiplicity 1)
F19 0.805 0.023 0.220 (multiplicity 1)

Top 12 peaks for 2θ from 5° to 70°, by angle:
hkl, 2theta, I_rel
1 1 0, 23.6, 91.4
1 -1 0, 24.5, 80.1
1 1 3, 28.8, 90.5
1 1 -3, 29.0, 100.0
-1 1 3, 29.6, 84.1
1 -1 3, 29.8, 94.0
0 0 6, 33.4, 35.2
1 0 -6, 38.4, 38.8
2 0 6, 51.0, 90.7
2 2 3, 51.2, 37.4
2 2 -3, 51.4, 35.6
0 2 9, 60.6, 35.0

This entry pairs a crystal structure of Mn12O5F19 with its theoretical powder XRD pattern. Radiation: Cu Kα X-rays. Structure: a structure optimized by DFT (PBE+U).

Structural model:
Cell lengths 5.272, 5.431, 15.600 Å; angles 83.81, 86.64, 81.45 degrees
Space group P1 (No. 1)
Inequivalent atoms, fractional coordinates:
Mn1 0.000 0.000 0.000 (multiplicity 1)
Mn2 0.004 0.416 0.835 (multiplicity 1)
Mn3 0.030 0.511 0.176 (multiplicity 1)
Mn4 0.063 0.493 0.510 (multiplicity 1)
Mn5 0.436 0.952 0.490 (multiplicity 1)
Mn6 0.452 0.925 0.160 (multiplicity 1)
Mn7 0.469 0.497 0.021 (multiplicity 1)
Mn8 0.492 0.911 0.837 (multiplicity 1)
Mn9 0.527 0.483 0.354 (multiplicity 1)
Mn10 0.553 0.531 0.681 (multiplicity 1)
Mn11 0.947 0.957 0.676 (multiplicity 1)
Mn12 0.958 0.992 0.339 (multiplicity 1)
O1 0.206 0.121 0.888 (multiplicity 1)
O2 0.225 0.737 0.084 (multiplicity 1)
O3 0.322 0.683 0.430 (multiplicity 1)
O4 0.625 0.147 0.409 (multiplicity 1)
O5 0.766 0.690 0.777 (multiplicity 1)
F1 0.122 0.192 0.425 (multiplicity 1)
F2 0.194 0.257 0.071 (multiplicity 1)
F3 0.211 0.398 0.731 (multiplicity 1)
F4 0.234 0.166 0.243 (multiplicity 1)
F5 0.241 0.749 0.589 (multiplicity 1)
F6 0.253 0.616 0.909 (multiplicity 1)
F7 0.288 0.658 0.261 (multiplicity 1)
F8 0.297 0.875 0.739 (multiplicity 1)
F9 0.351 0.220 0.568 (multiplicity 1)
F10 0.683 0.863 0.941 (multiplicity 1)
F11 0.692 0.134 0.082 (multiplicity 1)
F12 0.716 0.611 0.099 (multiplicity 1)
F13 0.718 0.190 0.767 (multiplicity 1)
F14 0.733 0.799 0.587 (multiplicity 1)
F15 0.761 0.362 0.933 (multiplicity 1)
F16 0.765 0.352 0.263 (multiplicity 1)
F17 0.775 0.839 0.243 (multiplicity 1)
F18 0.816 0.658 0.412 (multiplicity 1)
F19 0.833 0.307 0.603 (multiplicity 1)

Top 12 peaks for 2θ from 5° to 70°, by angle:
hkl, 2theta, I_rel
1 0 3, 23.7, 17.4
1 1 3, 26.5, 100.0
1 1 -3, 29.6, 84.2
-1 1 3, 30.4, 72.5
1 -1 3, 31.5, 62.9
0 2 0, 33.5, 23.4
2 2 0, 45.0, 26.3
0 2 6, 46.4, 24.9
2 0 6, 48.6, 45.1
2 0 -6, 50.9, 33.2
0 2 -6, 51.6, 26.9
2 -2 0, 52.5, 21.2